No. 1
The following is a calculated powder diffraction line list of LiLa4Ni3WO12. It was derived from the GGA+U geometry in Alexandria, using a wavelength of 1.5418 Å.
Intensities are scaled so that the largest is 100.

Most intense lines, 5° ≤ 2θ ≤ 70°, low angle first:
2θ (°)  I_rel
19.15  17
30.76  100
32.17  30
32.72  28
56.48  20
57.19  19

Atomic structure:
```
LiLa4Ni3WO12
1.0
5.473 0.000 0.000
0.000 8.711 0.000
-0.017 0.000 5.565
Li La Ni W O
1 4 3 1 12
Cartesian
0.000 0.000 0.000
0.000 2.465 0.000
0.000 6.245 0.000
2.728 1.776 2.783
2.728 6.935 2.783
-0.009 0.000 2.783
2.737 0.000 0.000
2.737 4.355 0.000
-0.009 4.355 2.783
-0.009 2.294 2.783
-0.009 6.417 2.783
0.960 4.355 0.993
1.192 0.000 4.320
1.601 0.000 1.645
1.623 4.355 3.786
2.737 2.257 0.000
2.737 6.454 0.000
3.833 4.355 1.779
3.855 0.000 3.920
4.264 0.000 1.245
4.496 4.355 4.572
```

=====

No. 2
The following is a calculated powder diffraction line list of Sr2AlGaW2O7. It was derived from the GGA+U geometry in Alexandria, using a wavelength of 1.5418 Å.
Intensities are scaled so that the largest is 100.

Most intense lines, 5° ≤ 2θ ≤ 70°, low angle first:
2θ (°)  I_rel
7.98  46
21.75  27
28.83  61
32.18  99
32.37  100
32.99  44

Atomic structure:
```
Sr2AlGaW2O7
1.0
5.571 0.000 0.000
-0.168 6.193 0.000
-2.537 -2.984 11.075
Sr Al Ga W O
4 2 2 4 14
Cartesian
0.000 0.000 0.000
0.034 0.197 4.021
-0.029 -0.131 10.984
2.725 2.835 4.054
0.222 -0.140 7.256
3.504 3.789 7.795
-0.005 3.440 1.996
2.792 5.622 1.986
-0.149 2.899 6.025
0.157 2.981 9.163
2.668 -0.085 5.986
2.759 0.133 9.121
-0.135 2.492 0.407
-0.967 0.855 6.263
-0.323 2.635 3.651
-1.442 1.661 9.700
-0.830 -1.020 8.557
0.788 -1.246 5.894
1.836 3.984 2.031
2.695 0.387 0.410
1.520 1.674 5.697
2.734 0.237 3.652
1.366 1.476 9.898
2.244 -2.077 8.844
3.482 4.112 6.048
4.623 5.079 2.049
```